Entry 1:
This entry pairs a crystal structure of U2P2PdN2 with its calculated powder X-ray diffraction pattern. Radiation: Cu Kα, 1.54184 Å. Structure: DFT lattice parameters and positions (PBE).

Most intense lines, 2θ = 5–70°, low angle first:
| 2theta | d (Å) | Rel. int. |
| --- | --- | --- |
| 8.4 | 10.553 | 60 |
| 25.3 | 3.518 | 27 |
| 28.3 | 3.152 | 100 |
| 32.0 | 2.800 | 64 |
| 43.9 | 2.061 | 29 |
| 47.7 | 1.907 | 31 |
| 51.4 | 1.779 | 18 |
| 54.8 | 1.677 | 21 |

Atomic structure:
Cell lengths 3.8141, 3.8141, 10.5530 Å; angles 90.00, 90.00, 120.00 degrees
Sites, in units of the cell vectors:
U  0.3333  0.6667  0.1370
U  0.6667  0.3333  0.8630
P  0.0000  0.0000  0.2844
P  0.0000  0.0000  0.7156
Pd  0.0000  0.0000  0.5000
N  0.3333  0.6667  0.9242
N  0.6667  0.3333  0.0758

---

Entry 2:
This entry pairs a crystal structure of PmP4N8 with its calculated powder X-ray diffraction pattern. Radiation: Cu Kα, 1.54184 Å. Structure: DFT lattice parameters and positions (PBE).

Most intense lines, 2θ = 5–70°, low angle first:
| 2theta | d (Å) | Rel. int. |
| --- | --- | --- |
| 10.8 | 8.180 | 100 |
| 23.4 | 3.797 | 27 |
| 30.2 | 2.959 | 43 |
| 36.3 | 2.475 | 23 |
| 38.0 | 2.369 | 30 |
| 39.2 | 2.301 | 19 |
| 61.6 | 1.507 | 10 |
| 68.8 | 1.365 | 9 |

Atomic structure:
Cell lengths 4.9506, 4.9506, 8.1802 Å; angles 90.00, 90.00, 120.00 degrees
Sites, in units of the cell vectors:
Pm  0.0000  0.0000  0.0000
P  0.3333  0.6667  0.2010
P  0.3333  0.6667  0.7990
P  0.6667  0.3333  0.2010
P  0.6667  0.3333  0.7990
N  0.0000  0.3724  0.7457
N  0.0000  0.6276  0.2543
N  0.3333  0.6667  0.0000
N  0.3724  0.0000  0.7457
N  0.3724  0.3724  0.2543
N  0.6276  0.0000  0.2543
N  0.6276  0.6276  0.7457
N  0.6667  0.3333  0.0000

---

Entry 3:
This entry pairs a crystal structure of Pm4PN7 with its calculated powder X-ray diffraction pattern. Radiation: Cu Kα, 1.54184 Å. Structure: DFT lattice parameters and positions (PBE).

Most intense lines, 2θ = 5–70°, low angle first:
| 2theta | d (Å) | Rel. int. |
| --- | --- | --- |
| 15.1 | 5.864 | 19 |
| 27.8 | 3.214 | 100 |
| 28.8 | 3.097 | 53 |
| 30.0 | 2.978 | 42 |
| 30.3 | 2.948 | 35 |
| 31.7 | 2.824 | 16 |
| 32.9 | 2.722 | 25 |
| 38.4 | 2.342 | 20 |

Atomic structure:
Cell lengths 6.0073, 6.2477, 6.5333 Å; angles 64.77, 85.40, 64.75 degrees
Sites, in units of the cell vectors:
Pm  0.0000  0.0000  0.0000
Pm  0.1610  0.5494  0.6341
Pm  0.3328  0.2810  0.2108
Pm  0.5872  0.7405  0.9130
P  0.7132  0.5031  0.4390
N  0.2442  0.6768  0.8880
N  0.3165  0.1271  0.9428
N  0.4518  0.5599  0.3404
N  0.7244  0.9508  0.5284
N  0.7831  0.4363  0.6949
N  0.8058  0.0154  0.3436
N  0.9118  0.5370  0.2638

---

Entry 4:
This entry pairs a crystal structure of PmPN3 with its calculated powder X-ray diffraction pattern. Radiation: Cu Kα, 1.54184 Å. Structure: DFT lattice parameters and positions (PBE).

Most intense lines, 2θ = 5–70°, low angle first:
| 2theta | d (Å) | Rel. int. |
| --- | --- | --- |
| 25.8 | 3.455 | 100 |
| 32.3 | 2.769 | 54 |
| 36.1 | 2.491 | 24 |
| 41.8 | 2.161 | 48 |
| 49.2 | 1.852 | 34 |
| 53.8 | 1.703 | 28 |
| 57.7 | 1.598 | 12 |
| 69.9 | 1.345 | 14 |

Atomic structure:
Cell lengths 5.5371, 5.5371, 4.9827 Å; angles 90.00, 90.00, 120.00 degrees
Sites, in units of the cell vectors:
Pm  0.3333  0.6667  0.2500
Pm  0.6667  0.3333  0.7500
P  0.0000  0.0000  0.2500
P  0.0000  0.0000  0.7500
N  0.1050  0.3260  0.7500
N  0.2210  0.8950  0.7500
N  0.3260  0.2210  0.2500
N  0.6740  0.7790  0.7500
N  0.7790  0.1050  0.2500
N  0.8950  0.6740  0.2500

---

Entry 5:
This entry pairs a crystal structure of RbPmPN3 with its calculated powder X-ray diffraction pattern. Radiation: Cu Kα, 1.54184 Å. Structure: DFT lattice parameters and positions (PBE).

Most intense lines, 2θ = 5–70°, low angle first:
| 2theta | d (Å) | Rel. int. |
| --- | --- | --- |
| 11.1 | 7.991 | 43 |
| 24.5 | 3.635 | 28 |
| 29.3 | 3.053 | 26 |
| 29.9 | 2.985 | 41 |
| 31.6 | 2.835 | 38 |
| 31.9 | 2.807 | 100 |
| 32.2 | 2.781 | 58 |
| 44.6 | 2.033 | 34 |

Atomic structure:
Cell lengths 6.6341, 6.6341, 8.3186 Å; angles 105.43, 105.43, 33.35 degrees
Sites, in units of the cell vectors:
Rb  0.1428  0.1428  0.0635
Rb  0.8572  0.8572  0.9365
Pm  0.1506  0.1506  0.5802
Pm  0.8494  0.8494  0.4198
P  0.4889  0.4889  0.7004
P  0.5111  0.5111  0.2996
N  0.0120  0.0120  0.3195
N  0.3512  0.3512  0.6407
N  0.3753  0.3753  0.2297
N  0.6247  0.6247  0.7703
N  0.6488  0.6488  0.3593
N  0.9880  0.9880  0.6805

---

Entry 6:
This entry pairs a crystal structure of Pm3PSN with its calculated powder X-ray diffraction pattern. Radiation: Cu Kα, 1.54184 Å. Structure: DFT lattice parameters and positions (PBE).

Most intense lines, 2θ = 5–70°, low angle first:
| 2theta | d (Å) | Rel. int. |
| --- | --- | --- |
| 24.1 | 3.699 | 33 |
| 25.4 | 3.510 | 56 |
| 28.6 | 3.118 | 83 |
| 29.3 | 3.052 | 45 |
| 31.3 | 2.855 | 32 |
| 31.7 | 2.824 | 100 |
| 38.8 | 2.320 | 32 |
| 47.3 | 1.922 | 45 |

Atomic structure:
Cell lengths 8.2105, 4.0276, 9.4845 Å; angles 90.00, 99.51, 90.00 degrees
Sites, in units of the cell vectors:
Pm  0.0940  0.2500  0.3507
Pm  0.3203  0.2500  0.9727
Pm  0.4015  0.7500  0.6584
Pm  0.5985  0.2500  0.3416
Pm  0.6797  0.7500  0.0273
Pm  0.9060  0.7500  0.6493
P  0.1523  0.2500  0.6516
P  0.8477  0.7500  0.3484
S  0.3359  0.7500  0.3233
S  0.6641  0.2500  0.6767
N  0.4163  0.7500  0.8960
N  0.5837  0.2500  0.1040

---

Entry 7:
This entry pairs a crystal structure of Pm6P3S2N with its calculated powder X-ray diffraction pattern. Radiation: Cu Kα, 1.54184 Å. Structure: DFT lattice parameters and positions (PBE).

Most intense lines, 2θ = 5–70°, low angle first:
| 2theta | d (Å) | Rel. int. |
| --- | --- | --- |
| 27.0 | 3.301 | 21 |
| 27.2 | 3.278 | 65 |
| 31.5 | 2.844 | 100 |
| 45.0 | 2.016 | 34 |
| 45.2 | 2.006 | 36 |
| 53.4 | 1.714 | 19 |
| 53.6 | 1.711 | 10 |
| 56.1 | 1.639 | 18 |

Atomic structure:
Cell lengths 8.9700, 8.9700, 8.0689 Å; angles 102.58, 102.58, 25.86 degrees
Sites, in units of the cell vectors:
Pm  0.0020  0.0020  0.2731
Pm  0.3361  0.3361  0.9113
Pm  0.3457  0.3457  0.4257
Pm  0.6543  0.6543  0.5743
Pm  0.6639  0.6639  0.0887
Pm  0.9980  0.9980  0.7269
P  0.1695  0.1695  0.3368
P  0.5000  0.5000  0.0000
P  0.8305  0.8305  0.6632
S  0.1657  0.1657  0.8340
S  0.8343  0.8343  0.1660
N  0.5000  0.5000  0.5000

---

Entry 8:
This entry pairs a crystal structure of Pm2TmP2N6 with its calculated powder X-ray diffraction pattern. Radiation: Cu Kα, 1.54184 Å. Structure: DFT lattice parameters and positions (PBE).

Most intense lines, 2θ = 5–70°, low angle first:
| 2theta | d (Å) | Rel. int. |
| --- | --- | --- |
| 19.2 | 4.632 | 46 |
| 27.6 | 3.227 | 33 |
| 31.7 | 2.821 | 100 |
| 32.3 | 2.774 | 92 |
| 43.0 | 2.104 | 20 |
| 45.9 | 1.978 | 40 |
| 56.2 | 1.638 | 19 |
| 57.2 | 1.610 | 37 |

Atomic structure:
Cell lengths 6.6319, 6.6319, 6.6319 Å; angles 49.45, 49.45, 49.45 degrees
Sites, in units of the cell vectors:
Pm  0.2074  0.2074  0.2074
Pm  0.7926  0.7926  0.7926
Tm  0.0000  0.0000  0.0000
P  0.4125  0.4125  0.4125
P  0.5875  0.5875  0.5875
N  0.2465  0.7379  0.7379
N  0.2621  0.2621  0.7535
N  0.2621  0.7535  0.2621
N  0.7379  0.2465  0.7379
N  0.7379  0.7379  0.2465
N  0.7535  0.2621  0.2621

---

Entry 9:
This entry pairs a crystal structure of Pr4PN7 with its calculated powder X-ray diffraction pattern. Radiation: Cu Kα, 1.54184 Å. Structure: DFT lattice parameters and positions (PBE).

Most intense lines, 2θ = 5–70°, low angle first:
| 2theta | d (Å) | Rel. int. |
| --- | --- | --- |
| 23.2 | 3.838 | 82 |
| 23.5 | 3.782 | 88 |
| 26.3 | 3.392 | 48 |
| 27.3 | 3.267 | 50 |
| 28.2 | 3.164 | 98 |
| 30.2 | 2.957 | 100 |
| 31.5 | 2.841 | 49 |
| 36.2 | 2.478 | 52 |

Atomic structure:
Cell lengths 3.9625, 7.0755, 8.2403 Å; angles 69.44, 89.53, 73.74 degrees
Sites, in units of the cell vectors:
Pr  0.0000  0.0000  0.0000
Pr  0.0222  0.8973  0.4467
Pr  0.2755  0.4421  0.1210
Pr  0.7941  0.4191  0.4981
P  0.4741  0.8391  0.7549
N  0.1037  0.0230  0.6954
N  0.1493  0.3480  0.8091
N  0.1851  0.6047  0.3401
N  0.4347  0.2399  0.8876
N  0.6064  0.7401  0.6115
N  0.6292  0.7534  0.9529
N  0.8745  0.2535  0.2585

---

Entry 10:
This entry pairs a crystal structure of PrPu3P4N12 with its calculated powder X-ray diffraction pattern. Radiation: Cu Kα, 1.54184 Å. Structure: DFT lattice parameters and positions (PBE).

Most intense lines, 2θ = 5–70°, low angle first:
| 2theta | d (Å) | Rel. int. |
| --- | --- | --- |
| 16.4 | 5.404 | 29 |
| 21.6 | 4.124 | 86 |
| 28.0 | 3.190 | 100 |
| 33.2 | 2.702 | 34 |
| 36.1 | 2.488 | 27 |
| 40.4 | 2.231 | 25 |
| 45.9 | 1.977 | 47 |
| 55.0 | 1.670 | 25 |

Atomic structure:
Cell lengths 6.8837, 6.8837, 6.8837 Å; angles 103.45, 103.45, 103.45 degrees
Sites, in units of the cell vectors:
Pr  0.0000  0.0000  0.0000
Pu  0.0000  0.5476  0.4524
Pu  0.4524  0.0000  0.5476
Pu  0.5476  0.4524  0.0000
P  0.0485  0.5000  0.9515
P  0.5000  0.5000  0.5000
P  0.5000  0.9515  0.0485
P  0.9515  0.0485  0.5000
N  0.0289  0.6406  0.8012
N  0.0993  0.9007  0.5000
N  0.1988  0.3594  0.9711
N  0.3540  0.6460  0.5000
N  0.3594  0.9711  0.1988
N  0.5000  0.0993  0.9007
N  0.5000  0.3540  0.6460
N  0.6406  0.8012  0.0289
N  0.6460  0.5000  0.3540
N  0.8012  0.0289  0.6406
N  0.9007  0.5000  0.0993
N  0.9711  0.1988  0.3594

---

Entry 11:
This entry pairs a crystal structure of PrPRu2N with its calculated powder X-ray diffraction pattern. Radiation: Cu Kα, 1.54184 Å. Structure: DFT lattice parameters and positions (PBE).

Most intense lines, 2θ = 5–70°, low angle first:
| 2theta | d (Å) | Rel. int. |
| --- | --- | --- |
| 29.6 | 3.019 | 38 |
| 33.6 | 2.668 | 84 |
| 34.1 | 2.626 | 39 |
| 35.5 | 2.531 | 100 |
| 35.9 | 2.499 | 29 |
| 41.1 | 2.194 | 27 |
| 48.1 | 1.890 | 29 |
| 61.7 | 1.504 | 25 |

Atomic structure:
Cell lengths 5.9559, 5.9559, 7.1448 Å; angles 90.00, 90.00, 142.99 degrees
Sites, in units of the cell vectors:
Pr  0.0417  0.9583  0.7500
Pr  0.9583  0.0417  0.2500
P  0.2305  0.7695  0.2500
P  0.7695  0.2305  0.7500
Ru  0.3327  0.6673  0.5533
Ru  0.3327  0.6673  0.9467
Ru  0.6673  0.3327  0.0533
Ru  0.6673  0.3327  0.4467
N  0.5000  0.5000  0.0000
N  0.5000  0.5000  0.5000

---

Entry 12:
This entry pairs a crystal structure of PrSiP2N6 with its calculated powder X-ray diffraction pattern. Radiation: Cu Kα, 1.54184 Å. Structure: DFT lattice parameters and positions (PBE).

Most intense lines, 2θ = 5–70°, low angle first:
| 2theta | d (Å) | Rel. int. |
| --- | --- | --- |
| 13.2 | 6.715 | 87 |
| 19.5 | 4.551 | 30 |
| 24.9 | 3.578 | 32 |
| 26.8 | 3.331 | 100 |
| 28.7 | 3.115 | 28 |
| 30.8 | 2.902 | 40 |
| 33.1 | 2.703 | 31 |
| 40.2 | 2.242 | 41 |

Atomic structure:
Cell lengths 7.0723, 7.0723, 5.6867 Å; angles 107.60, 107.60, 89.38 degrees
Sites, in units of the cell vectors:
Pr  0.1285  0.8715  0.7500
Pr  0.8715  0.1285  0.2500
Si  0.2329  0.7671  0.2500
Si  0.7671  0.2329  0.7500
P  0.2182  0.3693  0.8302
P  0.3693  0.2182  0.3302
P  0.6307  0.7818  0.6698
P  0.7818  0.6307  0.1698
N  0.0025  0.2387  0.7173
N  0.2203  0.6059  0.9566
N  0.2387  0.0025  0.2173
N  0.2638  0.3406  0.5500
N  0.3406  0.2638  0.0500
N  0.3941  0.7797  0.5434
N  0.6059  0.2203  0.4566
N  0.6594  0.7362  0.9500
N  0.7362  0.6594  0.4500
N  0.7613  0.9975  0.7827
N  0.7797  0.3941  0.0434
N  0.9975  0.7613  0.2827